Structure and simulated powder XRD pattern of MgVO3 (a DFT-relaxed cell (PBE+U, Alexandria); Cu Kα).
Neutral-atom scattering factors, no anomalous dispersion.

The 6 most intense peaks (2θ from 15° to 90°), sorted by position:
2θ (°), I (rel.)
19.4, 100
28.0, 35
31.7, 63
36.8, 30
37.5, 40
52.7, 40

Cell and atoms:
Cell: 3.588 7.302 7.302 Å, 141.11 90.00 90.00°
Atoms (fractional coordinates):
1 Mg 0.250 0.179 0.821
2 Mg 0.750 0.821 0.179
3 V 0.250 0.341 0.514
4 V 0.750 0.514 0.341
5 O 0.250 0.034 0.447
6 O 0.250 0.368 0.247
7 O 0.250 0.663 0.882
8 O 0.750 0.247 0.368
9 O 0.750 0.447 0.034
10 O 0.750 0.882 0.663